No. 1
Simulated X-ray diffraction stick pattern of Li3MnPCO7 for copper Kα, from a structure optimized by DFT (GGA+U).

Peak list (12 most intense, 2θ = 5–70°, in order of rising 2θ)
8.91 deg, I = 20; 10.33 deg, I = 94; 19.96 deg, I = 24; 21.40 deg, I = 27; 25.46 deg, I = 24; 26.39 deg, I = 29; 27.09 deg, I = 100; 31.32 deg, I = 22; 36.21 deg, I = 28; 36.92 deg, I = 32; 50.64 deg, I = 21; 55.85 deg, I = 22

Crystal structure
Unit cell a=6.5842 b=8.5948 c=9.9535 alpha=94.54 beta=90.31 gamma=90.43
Element x y z (fractional)
Li (0.0000, 0.0000, 0.0000)
Li (0.0013, 0.0001, 0.5031)
Li (0.0038, 0.5599, 0.7843)
Li (0.2129, 0.1841, 0.7621)
Li (0.2181, 0.1792, 0.2589)
Li (0.2655, 0.6292, 0.5137)
Li (0.2679, 0.6302, 0.9948)
Li (0.4926, 0.8062, 0.7713)
Li (0.4955, 0.8141, 0.2605)
Li (0.7325, 0.6310, 0.9950)
Li (0.7796, 0.1783, 0.2590)
Li (0.7850, 0.1840, 0.7615)
Mn (0.0048, 0.5603, 0.2589)
Mn (0.4993, 0.2445, 0.9927)
Mn (0.4987, 0.2466, 0.4957)
Mn (0.7492, 0.6375, 0.5274)
P (0.4975, 0.4967, 0.7461)
P (0.4997, 0.4949, 0.2450)
P (0.9994, 0.3142, 0.5248)
P (0.9993, 0.3156, 0.0218)
C (0.4978, 0.9403, 0.5323)
C (0.4995, 0.9378, 0.0322)
C (0.9947, 0.8692, 0.7350)
C (0.9969, 0.8713, 0.2361)
O (0.9998, 0.3237, 0.1802)
O (0.9997, 0.4844, 0.9804)
O (0.0002, 0.8349, 0.8571)
O (0.0006, 0.4819, 0.4727)
O (0.1827, 0.2163, 0.9682)
O (0.1830, 0.2176, 0.4678)
O (0.3118, 0.5925, 0.7958)
O (0.3179, 0.5946, 0.3004)
O (0.4971, 0.0507, 0.6279)
O (0.4972, 0.7942, 0.5650)
O (0.4980, 0.3267, 0.7879)
O (0.4988, 0.3269, 0.2906)
O (0.4986, 0.4834, 0.5853)
O (0.4987, 0.9717, 0.4080)
O (0.4987, 0.9745, 0.9089)
O (0.4997, 0.0490, 0.1298)
O (0.5002, 0.4821, 0.0879)
O (0.4998, 0.7925, 0.0612)
O (0.6878, 0.5931, 0.3019)
O (0.6885, 0.5940, 0.7919)
O (0.8138, 0.2161, 0.4678)
O (0.8147, 0.2154, 0.9671)
O (0.9879, 0.7579, 0.6358)
O (0.9941, 0.8357, 0.3605)
O (0.9988, 0.0139, 0.7024)
O (0.9990, 0.0154, 0.2055)
O (0.9993, 0.3310, 0.6801)
O (0.9986, 0.7600, 0.1394)

---

No. 2
Simulated X-ray diffraction stick pattern of MgFeSi2O4 for copper Kα, from a structure optimized by DFT (GGA+U).

Peak list (12 most intense, 2θ = 5–70°, in order of rising 2θ)
13.70 deg, I = 26; 20.29 deg, I = 25; 21.13 deg, I = 100; 27.60 deg, I = 37; 33.80 deg, I = 54; 36.04 deg, I = 22; 38.33 deg, I = 16; 38.96 deg, I = 21; 43.32 deg, I = 12; 47.08 deg, I = 27; 57.57 deg, I = 16; 60.34 deg, I = 19

Crystal structure
Unit cell a=2.9080 b=9.5879 c=8.7520 alpha=90.00 beta=90.00 gamma=90.00
Element x y z (fractional)
Mg (0.0000, 0.1714, 0.0000)
Mg (0.0000, 0.8286, 0.5000)
Fe (0.5000, 0.3200, 0.4864)
Fe (0.5000, 0.6800, 0.9864)
Si (0.0000, 0.3968, 0.8257)
Si (0.0000, 0.6032, 0.3257)
Si (0.5000, 0.1008, 0.3248)
Si (0.5000, 0.8992, 0.8248)
O (0.0000, 0.0037, 0.8512)
O (0.0000, 0.3666, 0.6407)
O (0.0000, 0.6334, 0.1407)
O (0.0000, 0.9963, 0.3512)
O (0.5000, 0.1317, 0.1394)
O (0.5000, 0.4975, 0.3507)
O (0.5000, 0.5025, 0.8507)
O (0.5000, 0.8683, 0.6394)

---

No. 3
Simulated X-ray diffraction stick pattern of LiAlVO4 for copper Kα, from a structure optimized by DFT (GGA+U).

Peak list (12 most intense, 2θ = 5–70°, in order of rising 2θ)
12.57 deg, I = 36; 20.01 deg, I = 29; 21.41 deg, I = 100; 21.87 deg, I = 27; 25.30 deg, I = 73; 26.91 deg, I = 20; 30.88 deg, I = 85; 33.68 deg, I = 80; 48.21 deg, I = 32; 53.51 deg, I = 24; 64.75 deg, I = 42; 67.75 deg, I = 21

Crystal structure
Unit cell a=8.7283 b=8.7283 c=8.7283 alpha=107.54 beta=107.54 gamma=107.54
Element x y z (fractional)
Li (0.0317, 0.4299, 0.2621)
Li (0.2621, 0.0317, 0.4299)
Li (0.4299, 0.2621, 0.0317)
Li (0.5701, 0.7379, 0.9683)
Li (0.7379, 0.9683, 0.5701)
Li (0.9683, 0.5701, 0.7379)
Al (0.0612, 0.2842, 0.8824)
Al (0.1176, 0.9388, 0.7158)
Al (0.2842, 0.8824, 0.0612)
Al (0.7158, 0.1176, 0.9388)
Al (0.8824, 0.0612, 0.2842)
Al (0.9388, 0.7158, 0.1176)
V (0.2194, 0.3889, 0.6332)
V (0.3668, 0.7806, 0.6111)
V (0.3889, 0.6332, 0.2194)
V (0.6111, 0.3668, 0.7806)
V (0.6332, 0.2194, 0.3889)
V (0.7806, 0.6111, 0.3668)
O (0.0836, 0.4080, 0.7524)
O (0.1110, 0.1693, 0.4500)
O (0.1496, 0.8147, 0.8374)
O (0.1626, 0.8504, 0.1853)
O (0.1693, 0.4500, 0.1110)
O (0.1853, 0.1626, 0.8504)
O (0.2177, 0.5451, 0.5254)
O (0.2476, 0.9164, 0.5920)
O (0.4080, 0.7524, 0.0836)
O (0.4500, 0.1110, 0.1693)
O (0.4549, 0.4746, 0.7823)
O (0.4746, 0.7823, 0.4549)
O (0.5254, 0.2177, 0.5451)
O (0.5451, 0.5255, 0.2177)
O (0.5500, 0.8890, 0.8307)
O (0.5920, 0.2476, 0.9164)
O (0.7524, 0.0836, 0.4080)
O (0.7823, 0.4549, 0.4746)
O (0.8147, 0.8374, 0.1496)
O (0.8307, 0.5500, 0.8890)
O (0.8374, 0.1496, 0.8147)
O (0.8504, 0.1853, 0.1626)
O (0.8890, 0.8307, 0.5500)
O (0.9164, 0.5920, 0.2476)

---

No. 4
Simulated X-ray diffraction stick pattern of Ba3MgWO6 for copper Kα, from a structure optimized by DFT (GGA+U).

Peak list (12 most intense, 2θ = 5–70°, in order of rising 2θ)
16.70 deg, I = 12; 17.89 deg, I = 12; 26.74 deg, I = 100; 27.63 deg, I = 39; 28.40 deg, I = 35; 30.38 deg, I = 18; 40.04 deg, I = 41; 41.62 deg, I = 22; 48.31 deg, I = 20; 49.28 deg, I = 19; 55.10 deg, I = 12; 64.91 deg, I = 16

Crystal structure
Unit cell a=6.6989 b=6.6989 c=6.6989 alpha=124.04 beta=122.37 gamma=84.54
Element x y z (fractional)
Ba (0.0000, 0.0000, 0.0000)
Ba (0.1894, 0.6894, 0.5000)
Ba (0.8106, 0.3106, 0.5000)
Mg (0.5000, 0.0000, 0.5000)
W (0.5000, 0.5000, 0.0000)
O (0.2862, 0.2862, 0.0000)
O (0.2918, 0.2499, 0.5418)
O (0.2918, 0.7501, 0.0419)
O (0.7082, 0.2499, 0.9581)
O (0.7082, 0.7501, 0.4582)
O (0.7138, 0.7138, 0.0000)

---

No. 5
Simulated X-ray diffraction stick pattern of VO2F for copper Kα, from a structure optimized by DFT (GGA+U).

Peak list (12 most intense, 2θ = 5–70°, in order of rising 2θ)
23.79 deg, I = 91; 24.04 deg, I = 100; 24.20 deg, I = 92; 33.74 deg, I = 38; 34.43 deg, I = 9; 40.30 deg, I = 12; 48.68 deg, I = 21; 49.23 deg, I = 17; 49.57 deg, I = 16; 54.49 deg, I = 19; 54.76 deg, I = 10; 55.04 deg, I = 16

Crystal structure
Unit cell a=5.1809 b=5.3180 c=11.5864 alpha=100.88 beta=102.19 gamma=90.95
Element x y z (fractional)
V (0.0000, 0.0000, 0.0000)
V (0.0920, 0.1157, 0.3334)
V (0.3384, 0.2781, 0.6671)
V (0.4906, 0.4950, 0.0072)
V (0.6221, 0.6107, 0.3405)
V (0.8212, 0.8261, 0.6734)
O (0.0923, 0.0221, 0.6808)
O (0.1213, 0.2063, 0.4815)
O (0.1265, 0.0466, 0.1473)
O (0.1547, 0.2335, 0.9557)
O (0.4302, 0.3559, 0.3434)
O (0.4533, 0.3729, 0.8139)
O (0.4593, 0.5523, 0.1501)
O (0.5667, 0.0641, 0.6263)
O (0.7579, 0.6796, 0.0100)
O (0.7799, 0.7084, 0.4837)
O (0.7941, 0.8696, 0.8172)
O (0.8249, 0.9079, 0.2913)
F (0.0009, 0.5121, 0.6737)
F (0.2343, 0.7343, 0.9518)
F (0.3467, 0.8532, 0.3471)
F (0.4740, 0.5695, 0.6208)
F (0.6763, 0.1772, 0.0149)
F (0.9067, 0.4118, 0.2871)

---

No. 6
Simulated X-ray diffraction stick pattern of NiH6S2O12 for copper Kα, from a structure optimized by DFT (GGA+U).

Peak list (12 most intense, 2θ = 5–70°, in order of rising 2θ)
10.71 deg, I = 35; 16.10 deg, I = 21; 16.80 deg, I = 100; 19.43 deg, I = 29; 19.62 deg, I = 30; 20.25 deg, I = 83; 20.39 deg, I = 17; 20.84 deg, I = 33; 21.51 deg, I = 20; 28.63 deg, I = 22; 32.01 deg, I = 34; 39.28 deg, I = 14

Crystal structure
Unit cell a=6.0952 b=6.3566 c=8.5417 alpha=78.51 beta=80.27 gamma=86.51
Element x y z (fractional)
Ni (0.0000, 0.0000, 0.0000)
H (0.0520, 0.2872, 0.7210)
H (0.1480, 0.1306, 0.5400)
H (0.2380, 0.7240, 0.8572)
H (0.7620, 0.2760, 0.1428)
H (0.8520, 0.8694, 0.4600)
H (0.9480, 0.7128, 0.2790)
S (0.4911, 0.6429, 0.5667)
S (0.5089, 0.3571, 0.4333)
O (0.0205, 0.8535, 0.2465)
O (0.0795, 0.0195, 0.6358)
O (0.1935, 0.8042, 0.9465)
O (0.2740, 0.3396, 0.4159)
O (0.3427, 0.5615, 0.7181)
O (0.4045, 0.8138, 0.4508)
O (0.5955, 0.1862, 0.5492)
O (0.6573, 0.4385, 0.2819)
O (0.7260, 0.6604, 0.5841)
O (0.8065, 0.1958, 0.0535)
O (0.9205, 0.9805, 0.3642)
O (0.9795, 0.1465, 0.7535)

---

What is the formula in the fifth record?
VO2F